No. 1
The following is a calculated PXRD pattern of Rb2SiPbI6. It was derived from a cell relaxed with PBE, using copper Kα.
Lines closer than 0.1° are merged.

Largest 10 diffraction maxima, by angle, 15 to 90 degrees two-theta:
two_theta	Rel. int.	index
24.22	18	3 1 1
25.31	70	2 2 2
29.31	100	4 0 0
32.00	17	3 3 1
32.86	21	4 2 0
41.93	74	4 4 0
49.61	30	6 2 2
51.97	26	4 4 4
68.90	32	8 4 0
76.58	23	8 4 4

```
data_Rb2SiPbI6
_chemical_formula_sum 'Rb8 Si4 Pb4 I24'
_symmetry_space_group_name_H-M 'F m -3 m'
_symmetry_Int_Tables_number 225
_symmetry_space_group_name_Hall '-F 4 2 3'
_cell_length_a 12.190
_cell_length_b 12.190
_cell_length_c 12.190
_cell_angle_alpha 90.00
_cell_angle_beta 90.00
_cell_angle_gamma 90.00
loop_
_atom_site_label
_atom_site_fract_x
_atom_site_fract_y
_atom_site_fract_z
_atom_site_occupancy
Rb1 0.250 0.250 0.250 1
Si1 0.000 0.000 0.000 1
Pb1 0.000 0.000 0.500 1
I1 0.000 0.000 0.239 1
```

No. 2
The following is a calculated PXRD pattern of Tb8Mg2Ag. It was derived from a cell relaxed with PBE, using copper Kα.
Lines closer than 0.1° are merged.

Largest 10 diffraction maxima, by angle, 15 to 90 degrees two-theta:
two_theta	Rel. int.	index
28.76	34	3 1 1
30.28	46	1 1 -2
30.38	22	6 0 -1
30.58	77	5 1 -1
31.20	67	5 1 0
33.04	100	1 1 2
33.32	82	0 2 0
35.44	35	5 1 -2
46.69	20	6 2 0
51.50	19	10 0 -1

```
data_Tb8Mg2Ag
_chemical_formula_sum 'Tb16 Mg4 Ag2'
_symmetry_space_group_name_H-M 'C 1 2/m 1'
_symmetry_Int_Tables_number 12
_cell_length_a 17.777
_cell_length_b 5.379
_cell_length_c 7.106
_cell_angle_alpha 90.00
_cell_angle_beta 107.75
_cell_angle_gamma 90.00
loop_
_symmetry_equiv_pos_as_xyz
'x,y,z'
'-x,-y,-z'
'-x,y,-z'
'x,-y,z'
'x+1/2,y+1/2,z'
'-x+1/2,-y+1/2,-z'
'-x+1/2,y+1/2,-z'
'x+1/2,-y+1/2,z'
loop_
_atom_site_label
_atom_site_fract_x
_atom_site_fract_y
_atom_site_fract_z
_atom_site_occupancy
Tb1 0.021 0.000 0.269 1
Tb2 0.095 0.500 0.946 1
Tb3 0.159 0.500 0.448 1
Tb4 0.192 0.000 0.769 1
Mg1 0.188 0.000 0.202 1
Ag1 0.000 0.500 0.500 1
```

No. 3
The following is a calculated PXRD pattern of LiTm2In2. It was derived from a cell relaxed with PBE, using copper Kα.
Lines closer than 0.1° are merged.

Largest 10 diffraction maxima, by angle, 15 to 90 degrees two-theta:
two_theta	Rel. int.	index
17.50	20	2 0 0
23.96	33	1 1 1
30.75	20	3 1 -1
32.32	100	1 1 -3
33.10	47	4 0 -2
35.93	36	3 1 -3
36.66	84	3 1 1
37.51	44	0 2 0
38.17	20	0 0 4
50.88	28	4 2 -2

```
data_LiTm2In2
_chemical_formula_sum 'Li4 Tm8 In8'
_symmetry_space_group_name_H-M 'C 1 2/m 1'
_symmetry_Int_Tables_number 12
_cell_length_a 10.975
_cell_length_b 4.796
_cell_length_c 10.212
_cell_angle_alpha 90.00
_cell_angle_beta 112.55
_cell_angle_gamma 90.00
loop_
_symmetry_equiv_pos_as_xyz
'x,y,z'
'-x,-y,-z'
'-x,y,-z'
'x,-y,z'
'x+1/2,y+1/2,z'
'-x+1/2,-y+1/2,-z'
'-x+1/2,y+1/2,-z'
'x+1/2,-y+1/2,z'
loop_
_atom_site_label
_atom_site_fract_x
_atom_site_fract_y
_atom_site_fract_z
_atom_site_occupancy
Li1 0.229 0.000 0.337 1
Tm1 0.037 0.500 0.348 1
Tm2 0.167 0.500 0.079 1
In1 0.029 0.000 0.864 1
In2 0.141 0.000 0.594 1
```